# V4O5F7
Calculated powder diffraction line list, Cu Kα (λ = 1.5418 Å). Input: DFT lattice parameters and positions (PBE+U).

Structure:
```
data_V4O5F7
_symmetry_space_group_name_H-M 'P 1'
_symmetry_Int_Tables_number 1
_cell_length_a 5.365
_cell_length_b 5.647
_cell_length_c 8.550
_cell_angle_alpha 97.47
_cell_angle_beta 93.64
_cell_angle_gamma 107.77
loop_
_symmetry_equiv_pos_as_xyz
'x,y,z'
loop_
_atom_site_label
_atom_site_fract_x
_atom_site_fract_y
_atom_site_fract_z
_atom_site_occupancy
V1 0.000 0.000 0.000 1
V2 0.163 0.388 0.361 1
V3 0.480 0.963 0.193 1
V4 0.762 0.820 0.542 1
O1 0.233 0.153 0.203 1
O2 0.469 0.521 0.470 1
O3 0.648 0.940 0.718 1
O4 0.743 0.835 0.093 1
O5 0.833 0.823 0.774 1
F1 0.016 0.293 0.936 1
F2 0.051 0.115 0.499 1
F3 0.231 0.634 0.212 1
F4 0.294 0.887 0.962 1
F5 0.559 0.983 0.427 1
F6 0.800 0.288 0.246 1
F7 0.998 0.628 0.495 1
```

Most intense lines, 2θ from 10° to 80°, sorted by position:
| d (Å) | I_rel |
| --- | --- |
| 8.427 | 100 |
| 5.310 | 50 |
| 4.850 | 47 |
| 4.576 | 33 |
| 4.439 | 32 |
| 3.871 | 25 |
| 3.587 | 19 |
| 3.167 | 22 |
| 3.079 | 36 |
| 3.003 | 20 |